No. 1
The following is a calculated PXRD pattern of Tb2Th2CoPt2. It was derived from DFT lattice parameters and positions (PBE), using copper Kα.
Peak positions follow from Bragg's law for the DFT cell and can differ from measured ones.

a b c (Å): 7.248 7.248 6.968
angles (deg): 114.86 114.86 32.46
Positions (direct):
1 Tb 0.018 0.018 0.254
2 Tb 0.982 0.982 0.746
3 Th 0.289 0.289 0.267
4 Th 0.711 0.711 0.733
5 Co 0.500 0.500 0.500
6 Pt 0.373 0.373 0.934
7 Pt 0.627 0.627 0.066

Top 10 peaks for 10° ≤ 2θ ≤ 80°, most intense first:
two_theta  d/Å  intensity
30.76  2.906  100
34.37  2.609  63
30.27  2.952  53
28.78  3.102  50
39.29  2.293  46
37.33  2.409  42
44.73  2.026  40
35.13  2.554  37
37.89  2.374  32
46.59  1.950  27

---

No. 2
The following is a calculated PXRD pattern of Y5Er3As8. It was derived from DFT lattice parameters and positions (PBE), using copper Kα.
Peak positions follow from Bragg's law for the DFT cell and can differ from measured ones.

a b c (Å): 8.216 8.216 8.216
angles (deg): 60.00 60.00 60.00
Positions (direct):
1 Y 0.000 0.000 0.000
2 Y 0.000 0.500 0.500
3 Y 0.500 0.000 0.500
4 Y 0.500 0.500 0.000
5 Y 0.500 0.500 0.500
6 Er 0.000 0.000 0.500
7 Er 0.000 0.500 0.000
8 Er 0.500 0.000 0.000
9 As 0.248 0.750 0.750
10 As 0.249 0.249 0.249
11 As 0.250 0.250 0.752
12 As 0.250 0.752 0.250
13 As 0.750 0.248 0.750
14 As 0.750 0.750 0.248
15 As 0.751 0.751 0.751
16 As 0.752 0.250 0.250

Top 10 peaks for 10° ≤ 2θ ≤ 80°, most intense first:
two_theta  d/Å  intensity
30.78  2.905  100
44.09  2.054  74
72.80  1.299  33
54.73  1.677  26
64.12  1.452  12
26.58  3.354  9
13.20  6.708  7
25.42  3.503  4
52.22  1.752  4
46.22  1.964  2

---

No. 3
The following is a calculated PXRD pattern of V12FeMo3. It was derived from DFT lattice parameters and positions (PBE), using copper Kα.
Peak positions follow from Bragg's law for the DFT cell and can differ from measured ones.

a b c (Å): 3.522 3.522 17.893
angles (deg): 90.00 90.00 90.00
Positions (direct):
1 V 0.000 0.000 0.000
2 V 0.000 0.000 0.245
3 V 0.000 0.000 0.500
4 V 0.000 0.000 0.755
5 V 0.000 0.500 0.118
6 V 0.000 0.500 0.373
7 V 0.000 0.500 0.627
8 V 0.000 0.500 0.882
9 V 0.500 0.000 0.118
10 V 0.500 0.000 0.373
11 V 0.500 0.000 0.627
12 V 0.500 0.000 0.882
13 Fe 0.500 0.500 0.000
14 Mo 0.500 0.500 0.246
15 Mo 0.500 0.500 0.500
16 Mo 0.500 0.500 0.754

Top 10 peaks for 10° ≤ 2θ ≤ 80°, most intense first:
two_theta  d/Å  intensity
41.50  2.176  100
40.32  2.237  26
51.92  1.761  25
67.72  1.384  20
74.11  1.279  15
76.49  1.245  7
32.35  2.767  5
25.29  3.522  5
19.85  4.473  4
36.06  2.491  2

---

No. 4
The following is a calculated PXRD pattern of HfSeCl2. It was derived from DFT lattice parameters and positions (PBE), using copper Kα.
Peak positions follow from Bragg's law for the DFT cell and can differ from measured ones.

a b c (Å): 6.323 6.440 11.438
angles (deg): 90.00 90.00 90.00
Positions (direct):
1 Hf 0.250 0.000 0.106
2 Hf 0.250 0.500 0.394
3 Hf 0.750 0.000 0.894
4 Hf 0.750 0.500 0.606
5 Se 0.085 0.250 0.250
6 Se 0.415 0.750 0.250
7 Se 0.585 0.250 0.750
8 Se 0.915 0.750 0.750
9 Cl 0.071 0.212 0.932
10 Cl 0.071 0.288 0.568
11 Cl 0.429 0.712 0.568
12 Cl 0.429 0.788 0.932
13 Cl 0.571 0.212 0.068
14 Cl 0.571 0.288 0.432
15 Cl 0.929 0.712 0.432
16 Cl 0.929 0.788 0.068

Top 10 peaks for 10° ≤ 2θ ≤ 80°, most intense first:
two_theta  d/Å  intensity
15.79  5.612  100
25.14  3.542  76
16.02  5.533  75
39.30  2.293  45
30.70  2.912  29
39.97  2.256  27
32.51  2.754  24
49.41  1.844  20
42.27  2.138  18
52.10  1.755  18

---

No. 5
The following is a calculated PXRD pattern of Tb2SmHo7. It was derived from DFT lattice parameters and positions (PBE), using copper Kα.
Peak positions follow from Bragg's law for the DFT cell and can differ from measured ones.

a b c (Å): 9.422 9.422 5.414
angles (deg): 106.68 106.68 124.00
Positions (direct):
1 Tb 0.199 0.801 0.000
2 Tb 0.801 0.199 0.000
3 Sm 0.500 0.500 0.500
4 Ho 0.000 0.000 0.000
5 Ho 0.140 0.359 0.749
6 Ho 0.300 0.700 0.500
7 Ho 0.359 0.140 0.749
8 Ho 0.641 0.860 0.251
9 Ho 0.700 0.300 0.500
10 Ho 0.860 0.641 0.251

Top 10 peaks for 10° ≤ 2θ ≤ 80°, most intense first:
two_theta  d/Å  intensity
31.56  2.835  100
30.89  2.895  88
33.09  2.707  46
33.46  2.678  42
47.77  1.904  31
62.35  1.489  29
59.02  1.565  18
58.15  1.586  18
34.53  2.597  17
41.54  2.174  16

---

No. 6
The following is a calculated PXRD pattern of CaCe2In2Hg2. It was derived from DFT lattice parameters and positions (PBE), using copper Kα.
Peak positions follow from Bragg's law for the DFT cell and can differ from measured ones.

a b c (Å): 9.801 9.801 9.801
angles (deg): 28.79 28.79 28.79
Positions (direct):
1 Ca 0.000 0.000 0.000
2 Ce 0.143 0.143 0.143
3 Ce 0.857 0.857 0.857
4 In 0.266 0.266 0.266
5 In 0.734 0.734 0.734
6 Hg 0.426 0.426 0.426
7 Hg 0.574 0.574 0.574

Top 10 peaks for 10° ≤ 2θ ≤ 80°, most intense first:
two_theta  d/Å  intensity
30.70  2.912  100
36.89  2.437  73
48.73  1.869  28
62.65  1.483  26
18.90  4.694  17
50.24  1.816  16
41.77  2.163  14
66.46  1.407  13
38.41  2.344  12
54.28  1.690  10

---

No. 7
The following is a calculated PXRD pattern of SrBi2I. It was derived from DFT lattice parameters and positions (PBE), using copper Kα.
Peak positions follow from Bragg's law for the DFT cell and can differ from measured ones.

a b c (Å): 14.291 14.291 14.291
angles (deg): 160.91 160.91 27.13
Positions (direct):
1 Sr 0.000 0.000 0.000
2 Sr 0.750 0.250 0.500
3 Bi 0.077 0.625 0.952
4 Bi 0.375 0.327 0.452
5 Bi 0.673 0.125 0.048
6 Bi 0.875 0.923 0.548
7 I 0.250 0.750 0.500
8 I 0.500 0.500 0.000

Top 10 peaks for 10° ≤ 2θ ≤ 80°, most intense first:
two_theta  d/Å  intensity
27.37  3.258  100
40.21  2.243  63
32.99  2.715  62
25.65  3.473  57
42.25  2.139  32
12.74  6.946  26
55.48  1.656  25
61.43  1.509  16
53.67  1.708  16
62.31  1.490  15

---

No. 8
The following is a calculated PXRD pattern of Pr2Y4Tm. It was derived from DFT lattice parameters and positions (PBE), using copper Kα.
Peak positions follow from Bragg's law for the DFT cell and can differ from measured ones.

a b c (Å): 3.646 3.646 20.332
angles (deg): 95.15 95.15 60.01
Positions (direct):
1 Pr 0.000 0.000 0.000
2 Pr 0.097 0.097 0.292
3 Y 0.193 0.193 0.578
4 Y 0.285 0.285 0.854
5 Y 0.714 0.714 0.144
6 Y 0.812 0.812 0.438
7 Tm 0.906 0.906 0.716

Top 10 peaks for 10° ≤ 2θ ≤ 80°, most intense first:
two_theta  d/Å  intensity
31.95  2.801  100
32.68  2.740  97
28.30  3.153  51
30.95  2.889  49
60.01  1.542  43
50.04  1.823  39
55.22  1.663  20
56.63  1.625  20
41.27  2.187  17
61.05  1.518  17